(1)
For RbSiB, DFT lattice parameters and positions (GGA-PBE) gives the computed powder XRD pattern in this record (Cu Kα (λ = 1.5418 Å)).

Most intense lines, 2θ = 10–90°, low angle first:
Position (°2θ)	I (rel.)	h k l
15.53	30	0 0 2
29.00	34	1 1 0
31.35	43	0 0 4
32.90	59	0 2 2
33.06	100	1 1 2
43.23	23	1 1 4
51.18	19	1 3 0
56.90	20	1 1 6
61.26	21	1 3 4
62.48	18	2 2 2

Crystal structure
```
data_RbSiB
_space_group_name_H-M_alt 'I m m m'
_space_group_IT_number 71
_space_group_name_Hall '-I 2 2'
_cell_length_a 3.549
_cell_length_b 6.195
_cell_length_c 11.412
_cell_angle_alpha 90.00
_cell_angle_beta 90.00
_cell_angle_gamma 90.00
loop_
_atom_site_label
_atom_site_type_symbol
_atom_site_fract_x
_atom_site_fract_y
_atom_site_fract_z
_atom_site_occupancy
Rb1 Rb 0.000 0.000 0.250 1
Si1 Si 0.000 0.306 0.000 1
B1 B 0.000 0.361 0.500 1
```

(2)
For Pr3Y4, DFT lattice parameters and positions (GGA-PBE) gives the computed powder XRD pattern in this record (Cu Kα (λ = 1.5418 Å)).

Most intense lines, 2θ = 10–90°, low angle first:
Position (°2θ)	I (rel.)	h k l
25.88	27	1 1 0
27.16	38	1 1 -1
29.92	86	3 1 -1
30.25	100	4 0 1
30.38	98	2 0 -3
32.05	84	6 0 -2
32.67	41	1 1 -2
36.27	50	1 1 2
36.58	27	5 1 -1
61.14	52	4 2 1

Crystal structure
```
data_Pr3Y4
_space_group_name_H-M_alt 'C 1 2/m 1'
_space_group_IT_number 12
_space_group_name_Hall '-C 2y'
_cell_length_a 17.129
_cell_length_b 3.534
_cell_length_c 8.890
_cell_angle_alpha 90.00
_cell_angle_beta 116.96
_cell_angle_gamma 90.00
loop_
_atom_site_label
_atom_site_type_symbol
_atom_site_fract_x
_atom_site_fract_y
_atom_site_fract_z
_atom_site_occupancy
Pr1 Pr 0.000 0.000 0.000 1
Pr2 Pr 0.222 0.000 0.149 1
Y1 Y 0.077 0.000 0.699 1
Y2 Y 0.136 0.500 0.411 1
```

(3)
For Na8CdIn3, DFT lattice parameters and positions (GGA-PBE) gives the computed powder XRD pattern in this record (Cu Kα (λ = 1.5418 Å)).

Most intense lines, 2θ = 10–90°, low angle first:
Position (°2θ)	I (rel.)	h k l
16.72	43	0 0 1
16.89	43	2 0 -1
17.61	85	2 0 0
23.49	38	0 2 1
23.61	37	2 2 -1
33.11	54	0 4 0
33.34	100	2 2 -2
34.48	59	2 2 1
34.75	53	4 2 -1
37.76	51	0 2 2

Crystal structure
```
data_Na8CdIn3
_space_group_name_H-M_alt 'C 1 m 1'
_space_group_IT_number 8
_space_group_name_Hall 'C -2y'
_cell_length_a 11.764
_cell_length_b 10.824
_cell_length_c 6.194
_cell_angle_alpha 90.00
_cell_angle_beta 121.10
_cell_angle_gamma 90.00
loop_
_atom_site_label
_atom_site_type_symbol
_atom_site_fract_x
_atom_site_fract_y
_atom_site_fract_z
_atom_site_occupancy
Na1 Na 0.000 0.000 0.000 1
Na2 Na 0.001 0.500 0.998 1
Na3 Na 0.004 0.251 0.321 1
Na4 Na 0.180 0.000 0.674 1
Na5 Na 0.182 0.500 0.685 1
Na6 Na 0.185 0.248 0.002 1
Cd1 Cd 0.342 0.000 0.371 1
In1 In 0.341 0.500 0.365 1
In2 In 0.344 0.249 0.634 1
```

(4)
For Tm2ScRu3, DFT lattice parameters and positions (GGA-PBE) gives the computed powder XRD pattern in this record (Cu Kα (λ = 1.5418 Å)).

Most intense lines, 2θ = 10–90°, low angle first:
Position (°2θ)	I (rel.)	h k l
28.41	7	1 0 1
32.54	8	1 0 2
38.41	51	1 1 0
38.55	100	1 0 3
55.45	17	2 0 0
55.88	8	0 0 6
69.56	34	2 1 3
69.85	16	1 1 6
82.28	6	2 2 0
82.64	10	2 0 6

Crystal structure
```
data_Tm2ScRu3
_space_group_name_H-M_alt 'P 4/m m m'
_space_group_IT_number 123
_space_group_name_Hall '-P 4 2'
_cell_length_a 3.314
_cell_length_b 3.314
_cell_length_c 9.872
_cell_angle_alpha 90.00
_cell_angle_beta 90.00
_cell_angle_gamma 90.00
loop_
_atom_site_label
_atom_site_type_symbol
_atom_site_fract_x
_atom_site_fract_y
_atom_site_fract_z
_atom_site_occupancy
Tm1 Tm 0.000 0.000 0.171 1
Sc1 Sc 0.000 0.000 0.500 1
Ru1 Ru 0.500 0.500 0.000 1
Ru2 Ru 0.500 0.500 0.342 1
```

(5)
For Cu3Sb, DFT lattice parameters and positions (GGA-PBE) gives the computed powder XRD pattern in this record (Cu Kα (λ = 1.5418 Å)).

Most intense lines, 2θ = 10–90°, low angle first:
Position (°2θ)	I (rel.)	h k l
38.06	100	1 1 0
42.21	71	0 1 2
43.44	33	1 0 -2
43.73	32	1 0 2
52.60	19	0 2 0
57.16	14	2 0 0
70.52	14	1 2 -2
70.73	14	1 2 2
73.36	13	2 1 -2
73.77	12	2 1 2

Crystal structure
```
data_Cu3Sb
_space_group_name_H-M_alt 'P 1 2/m 1'
_space_group_IT_number 10
_space_group_name_Hall '-P 2y'
_cell_length_a 3.223
_cell_length_b 3.480
_cell_length_c 5.431
_cell_angle_alpha 90.00
_cell_angle_beta 90.37
_cell_angle_gamma 90.00
loop_
_atom_site_label
_atom_site_type_symbol
_atom_site_fract_x
_atom_site_fract_y
_atom_site_fract_z
_atom_site_occupancy
Cu1 Cu 0.000 0.000 0.000 1
Cu2 Cu 0.500 0.500 0.226 1
Sb1 Sb 0.000 0.000 0.500 1
```

(6)
For La5CePb6, DFT lattice parameters and positions (GGA-PBE) gives the computed powder XRD pattern in this record (Cu Kα (λ = 1.5418 Å)).

Most intense lines, 2θ = 10–90°, low angle first:
Position (°2θ)	I (rel.)	h k l
29.58	67	2 0 -2
33.15	100	1 3 1
42.33	26	2 6 -2
54.77	36	1 3 -3
54.87	12	5 3 -3
61.35	17	0 12 0
61.44	9	4 0 -4
69.56	12	2 12 -2
69.65	12	4 6 -4
86.79	13	3 3 -5

Crystal structure
```
data_La5CePb6
_space_group_name_H-M_alt 'C 1 2/m 1'
_space_group_IT_number 12
_space_group_name_Hall '-C 2y'
_cell_length_a 9.217
_cell_length_b 18.123
_cell_length_c 6.037
_cell_angle_alpha 90.00
_cell_angle_beta 130.78
_cell_angle_gamma 90.00
loop_
_atom_site_label
_atom_site_type_symbol
_atom_site_fract_x
_atom_site_fract_y
_atom_site_fract_z
_atom_site_occupancy
La1 La 0.000 0.000 0.000 1
La2 La 0.000 0.165 0.500 1
La3 La 0.000 0.329 0.000 1
Ce1 Ce 0.000 0.500 0.500 1
Pb1 Pb 0.239 0.500 0.239 1
Pb2 Pb 0.244 0.335 0.744 1
```

(7)
For Rb2CoPbCl6, DFT lattice parameters and positions (GGA-PBE) gives the computed powder XRD pattern in this record (Cu Kα (λ = 1.5418 Å)).

Most intense lines, 2θ = 10–90°, low angle first:
Position (°2θ)	I (rel.)	h k l
14.48	18	0 0 1
16.74	24	2 0 0
23.76	100	0 2 0
27.92	18	1 1 -2
33.85	63	4 0 0
36.96	12	4 2 -1
41.73	34	4 2 0
48.54	21	2 2 2
48.69	21	6 2 -2
65.90	13	5 3 1

Crystal structure
```
data_Rb2CoPbCl6
_space_group_name_H-M_alt 'C 1 m 1'
_space_group_IT_number 8
_space_group_name_Hall 'C -2y'
_cell_length_a 12.947
_cell_length_b 7.501
_cell_length_c 7.478
_cell_angle_alpha 90.00
_cell_angle_beta 125.05
_cell_angle_gamma 90.00
loop_
_atom_site_label
_atom_site_type_symbol
_atom_site_fract_x
_atom_site_fract_y
_atom_site_fract_z
_atom_site_occupancy
Rb1 Rb 0.000 0.000 0.000 1
Rb2 Rb 0.000 0.500 0.500 1
Co1 Co 0.251 0.000 0.751 1
Pb1 Pb 0.251 0.500 0.251 1
Cl1 Cl 0.019 0.000 0.519 1
Cl2 Cl 0.250 0.231 0.520 1
Cl3 Cl 0.251 0.231 0.982 1
Cl4 Cl 0.482 0.000 0.983 1
```

(8)
For Tb4HgPbC, DFT lattice parameters and positions (GGA-PBE) gives the computed powder XRD pattern in this record (Cu Kα (λ = 1.5418 Å)).

Most intense lines, 2θ = 10–90°, low angle first:
Position (°2θ)	I (rel.)	h k l
25.47	25	2 0 0
28.08	56	2 2 0
34.57	15	1 5 1
34.82	100	2 4 0
35.34	18	0 6 0
36.33	64	2 0 2
51.59	25	2 6 2
52.33	23	4 0 0
60.43	13	4 2 2
64.40	34	4 4 2

Crystal structure
```
data_Tb4HgPbC
_space_group_name_H-M_alt 'C m c m'
_space_group_IT_number 63
_space_group_name_Hall '-C 2c 2'
_cell_length_a 7.000
_cell_length_b 15.239
_cell_length_c 6.988
_cell_angle_alpha 90.00
_cell_angle_beta 90.00
_cell_angle_gamma 90.00
loop_
_atom_site_label
_atom_site_type_symbol
_atom_site_fract_x
_atom_site_fract_y
_atom_site_fract_z
_atom_site_occupancy
Tb1 Tb 0.000 0.083 0.250 1
Tb2 Tb 0.000 0.410 0.250 1
Tb3 Tb 0.250 0.250 0.000 1
Hg1 Hg 0.000 0.117 0.750 1
Pb1 Pb 0.000 0.385 0.750 1
C1 C 0.000 0.249 0.250 1
```